This entry pairs a crystal structure of FeSi15Ge13P3 with its computed powder diffraction line list. Radiation: a wavelength of 1.5418 Å. Structure: the GGA-PBE geometry in OQMD.
No peak broadening, texture or thermal motion is included.

Cell and atoms:
Cell: 5.5749 7.8224 15.6295 Å, 89.97 89.41 89.74°
Fractional positions:
Fe1 0.0000 0.0000 0.0000
Si1 0.0056 0.5030 0.9924
Si2 0.0174 0.5043 0.4941
Si3 0.2589 0.5014 0.1140
Si4 0.2599 0.0085 0.6224
Si5 0.2612 0.4993 0.6170
Si6 0.2740 0.9971 0.1031
Si7 0.4977 0.2593 0.8703
Si8 0.5025 0.2524 0.1153
Si9 0.5083 0.2538 0.6197
Si10 0.5093 0.7456 0.1145
Si11 0.7408 0.2556 0.7456
Si12 0.7570 0.7482 0.2353
Si13 0.7602 0.7523 0.7452
Si14 0.7692 0.2563 0.2312
Si15 0.7816 0.7603 0.9967
Ge1 0.0010 0.0070 0.7478
Ge2 0.0065 0.4993 0.7438
Ge3 0.0197 0.9984 0.2288
Ge4 0.0290 0.0026 0.4936
Ge5 0.2421 0.0090 0.8813
Ge6 0.2594 0.5047 0.3629
Ge7 0.2707 0.0016 0.3600
Ge8 0.5033 0.7529 0.6217
Ge9 0.5158 0.7547 0.8743
Ge10 0.5356 0.2542 0.3603
Ge11 0.7625 0.7527 0.4918
Ge12 0.7642 0.2451 0.9903
Ge13 0.7663 0.2561 0.4937
P1 0.0024 0.5040 0.2343
P2 0.2554 0.5022 0.8710
P3 0.5292 0.7505 0.3611

Peak list (6 most intense, 5° ≤ 2θ ≤ 70°, by intensity)
| 2theta | Rel. int. |
| --- | --- |
| 27.8 | 1000 |
| 28.0 | 989 |
| 46.4 | 460 |
| 46.5 | 431 |
| 46.0 | 238 |
| 46.2 | 238 |

***

This entry pairs a crystal structure of FeSi15Ge13P3 with its computed powder diffraction line list. Radiation: a wavelength of 1.5418 Å. Structure: the GGA-PBE geometry in OQMD.
No peak broadening, texture or thermal motion is included.

Cell and atoms:
Cell: 5.5129 7.8001 15.7673 Å, 89.66 88.54 89.72°
Fractional positions:
Fe1 0.0000 0.0000 0.0000
Si1 0.1887 0.0064 0.8753
Si2 0.2289 0.0082 0.3595
Si3 0.2329 0.5141 0.8672
Si4 0.2468 0.5055 0.3583
Si5 0.4619 0.7681 0.8673
Si6 0.4796 0.7604 0.3621
Si7 0.4806 0.7714 0.1067
Si8 0.4840 0.2519 0.3606
Si9 0.7282 0.2541 0.4817
Si10 0.7329 0.7943 0.9811
Si11 0.7373 0.2507 0.2370
Si12 0.7405 0.7615 0.4788
Si13 0.7626 0.2212 0.9804
Si14 0.9904 0.0129 0.7429
Si15 0.9937 0.0093 0.2357
Ge1 0.2255 0.0117 0.6107
Ge2 0.2332 0.5126 0.1062
Ge3 0.2453 0.5077 0.6093
Ge4 0.4616 0.2515 0.8700
Ge5 0.4978 0.2493 0.1082
Ge6 0.5070 0.7638 0.6086
Ge7 0.7250 0.2557 0.7392
Ge8 0.7264 0.7659 0.2330
Ge9 0.7315 0.7678 0.7418
Ge10 0.9492 0.5130 0.9859
Ge11 0.9831 0.5054 0.2378
Ge12 0.9893 0.5038 0.4826
Ge13 0.9926 0.5089 0.7414
P1 0.2277 0.0075 0.1131
P2 0.4989 0.2541 0.6071
P3 0.9749 0.0092 0.4797

Peak list (6 most intense, 5° ≤ 2θ ≤ 70°, by intensity)
| 2theta | Rel. int. |
| --- | --- |
| 28.1 | 1000 |
| 27.5 | 485 |
| 28.0 | 485 |
| 46.9 | 429 |
| 45.9 | 243 |
| 46.1 | 227 |

***

This entry pairs a crystal structure of FeSi16Ge14P with its computed powder diffraction line list. Radiation: a wavelength of 1.5418 Å. Structure: the GGA-PBE geometry in OQMD.
No peak broadening, texture or thermal motion is included.

Cell and atoms:
Cell: 5.5356 3.9582 31.3166 Å, 90.00 90.04 90.00°
Fractional positions:
Fe1 0.0000 0.0000 0.0000
Si1 0.0073 0.0000 0.6267
Si2 0.2470 0.5000 0.6269
Si3 0.2523 0.5000 0.1253
Si4 0.2565 0.5000 0.3772
Si5 0.5019 0.5000 0.1862
Si6 0.5044 0.5000 0.4381
Si7 0.5041 0.5000 0.6865
Si8 0.5062 0.5000 0.9400
Si9 0.7413 0.0000 0.1868
Si10 0.7409 0.0000 0.4396
Si11 0.7447 0.0000 0.6869
Si12 0.7487 0.0000 0.9438
Si13 0.7541 0.0000 0.8117
Si14 0.7592 0.0000 0.0573
Si15 0.9915 0.0000 0.7489
Si16 0.9917 0.0000 0.2479
Ge1 0.0064 0.0000 0.3779
Ge2 0.2188 0.5000 0.9994
Ge3 0.2298 0.5000 0.4982
Ge4 0.2408 0.5000 0.2479
Ge5 0.2424 0.5000 0.7483
Ge6 0.2540 0.5000 0.8772
Ge7 0.4874 0.5000 0.5628
Ge8 0.4920 0.5000 0.3130
Ge9 0.5035 0.5000 0.0621
Ge10 0.5045 0.5000 0.8121
Ge11 0.7527 0.0000 0.3123
Ge12 0.7526 0.0000 0.5632
Ge13 0.9883 0.0000 0.8775
Ge14 0.9991 0.0000 0.1236
P1 0.9886 0.0000 0.4989

Peak list (6 most intense, 5° ≤ 2θ ≤ 70°, by intensity)
| 2theta | Rel. int. |
| --- | --- |
| 27.9 | 1000 |
| 27.7 | 971 |
| 46.3 | 921 |
| 54.9 | 409 |
| 54.5 | 289 |
| 45.9 | 242 |

***

This entry pairs a crystal structure of Pr2Fe3Ge5 with its computed powder diffraction line list. Radiation: a wavelength of 1.5418 Å. Structure: the GGA-PBE geometry in OQMD.
No peak broadening, texture or thermal motion is included.

Cell and atoms:
Cell: 8.3296 8.3296 5.8052 Å, 109.33 109.33 94.72°
Fractional positions:
Pr1 0.1002 0.3694 0.2353
Pr2 0.3694 0.1002 0.7353
Pr3 0.6306 0.8998 0.2647
Pr4 0.8998 0.6306 0.7647
Fe1 0.0455 0.7643 0.3802
Fe2 0.2357 0.9545 0.1198
Fe3 0.4970 0.5030 0.2500
Fe4 0.5030 0.4970 0.7500
Fe5 0.7643 0.0455 0.8802
Fe6 0.9545 0.2357 0.6198
Ge1 0.0065 0.9935 0.7500
Ge2 0.2317 0.4265 0.8234
Ge3 0.2676 0.7324 0.7500
Ge4 0.2831 0.7169 0.2500
Ge5 0.4265 0.2317 0.3234
Ge6 0.5735 0.7683 0.6766
Ge7 0.7169 0.2831 0.7500
Ge8 0.7324 0.2676 0.2500
Ge9 0.7683 0.5735 0.1766
Ge10 0.9935 0.0065 0.2500

Peak list (6 most intense, 5° ≤ 2θ ≤ 70°, by intensity)
| 2theta | Rel. int. |
| --- | --- |
| 34.5 | 1000 |
| 42.9 | 972 |
| 35.4 | 620 |
| 35.0 | 548 |
| 36.4 | 433 |
| 34.3 | 429 |

***

This entry pairs a crystal structure of Fe3Ge5S with its computed powder diffraction line list. Radiation: a wavelength of 1.5418 Å. Structure: the GGA-PBE geometry in OQMD.
No peak broadening, texture or thermal motion is included.

Cell and atoms:
Cell: 5.6209 5.6682 5.6446 Å, 90.00 90.81 90.00°
Fractional positions:
Fe1 0.0000 0.0000 0.0000
Fe2 0.0000 0.4922 0.5000
Fe3 0.5000 0.4943 0.0000
Ge1 0.0000 0.4777 0.0000
Ge2 0.2546 0.7503 0.2564
Ge3 0.2635 0.2321 0.7380
Ge4 0.7365 0.2321 0.2620
Ge5 0.7454 0.7503 0.7436
S1 0.5000 0.9892 0.5000

Peak list (6 most intense, 5° ≤ 2θ ≤ 70°, by intensity)
| 2theta | Rel. int. |
| --- | --- |
| 27.5 | 1000 |
| 27.2 | 903 |
| 45.4 | 725 |
| 45.5 | 720 |
| 45.2 | 363 |
| 45.9 | 355 |

***

This entry pairs a crystal structure of FeGeSb with its computed powder diffraction line list. Radiation: a wavelength of 1.5418 Å. Structure: the GGA-PBE geometry in OQMD.
No peak broadening, texture or thermal motion is included.

Cell and atoms:
Cell: 4.2267 4.2267 4.2267 Å, 60.00 60.00 60.00°
Fractional positions:
Fe1 0.0000 0.0000 0.0000
Ge1 0.7500 0.7500 0.7500
Sb1 0.2500 0.2500 0.2500

Peak list (6 most intense, 5° ≤ 2θ ≤ 70°, by intensity)
| 2theta | Rel. int. |
| --- | --- |
| 42.8 | 1000 |
| 29.9 | 386 |
| 25.8 | 227 |
| 62.1 | 159 |
| 53.1 | 104 |
| 50.7 | 100 |